(1)
Structure and simulated X-ray powder pattern of Cs7K6Na (a PBE-relaxed structure; CuKα).
Kinematic intensities with the Lorentz-polarization factor, no thermal factor.

Principal peaks in the range 2θ = 10–80°, by angle:
Position (°2θ), I (rel.)
17.19, 30
21.65, 100
21.78, 33
25.09, 69
35.69, 30
35.86, 25
42.18, 45
42.34, 15

Structural model:
```
Cs7K6Na
1.0
6.6546 3.8421 8.1617
-6.6546 3.8421 8.1617
0.0000 -7.6841 8.1617
Cs K Na
7 6 1
Direct
0.0000 0.0000 0.0000
0.1507 0.5801 0.3122
0.2252 0.3873 0.9120
0.3122 0.1507 0.5801
0.3873 0.9120 0.2252
0.5801 0.3122 0.1507
0.9120 0.2252 0.3873
0.0704 0.7878 0.6529
0.4474 0.7272 0.8332
0.6529 0.0704 0.7878
0.7272 0.8332 0.4474
0.7878 0.6529 0.0704
0.8332 0.4474 0.7272
0.5196 0.5196 0.5196
```

=====

(2)
Structure and simulated X-ray powder pattern of MgGa4Bi (a PBE-relaxed structure; CuKα).
Kinematic intensities with the Lorentz-polarization factor, no thermal factor.

Principal peaks in the range 2θ = 10–80°, by angle:
Position (°2θ), I (rel.)
19.04, 24
22.01, 26
31.33, 37
36.92, 100
38.62, 31
55.77, 15
59.48, 34
65.37, 23

Structural model:
```
MgGa4Bi
1.0
0.0000 4.0376 4.0376
4.0376 0.0000 4.0376
4.0376 4.0376 0.0000
Mg Ga Bi
1 4 1
Direct
0.0000 0.0000 0.0000
0.1236 0.6255 0.6255
0.6255 0.1236 0.6255
0.6255 0.6255 0.1236
0.6255 0.6255 0.6255
0.2500 0.2500 0.2500
```

=====

(3)
Structure and simulated X-ray powder pattern of BaLiPu2O8 (a PBE-relaxed structure; CuKα).
Kinematic intensities with the Lorentz-polarization factor, no thermal factor.

Principal peaks in the range 2θ = 10–80°, by angle:
Position (°2θ), I (rel.)
16.68, 100
22.67, 79
24.64, 57
30.66, 85
30.73, 28
33.73, 36
45.23, 29
47.32, 38

Structural model:
```
BaLiPu2O8
1.0
5.3280 0.0000 0.0000
0.4373 5.3189 0.0000
0.0244 0.0224 6.9702
Ba Li Pu O
1 1 2 8
Direct
0.0000 0.0000 0.0000
0.0000 0.0000 0.5000
0.4997 0.4997 0.2581
0.5003 0.5003 0.7419
0.2386 0.7590 0.2750
0.2388 0.7592 0.7251
0.3358 0.3344 0.4989
0.3408 0.3389 0.9977
0.6592 0.6611 0.0023
0.6642 0.6656 0.5011
0.7612 0.2408 0.2749
0.7614 0.2410 0.7250
```

=====

(4)
Structure and simulated X-ray powder pattern of Rb3Mn2TlBr8 (a PBE-relaxed structure; CuKα).
Kinematic intensities with the Lorentz-polarization factor, no thermal factor.

Principal peaks in the range 2θ = 10–80°, by angle:
Position (°2θ), I (rel.)
15.33, 45
21.51, 100
26.52, 78
28.24, 80
30.03, 46
30.93, 77
43.84, 67
44.79, 34

Structural model:
```
Rb3Mn2TlBr8
1.0
8.2609 0.0000 0.0000
-4.1304 7.1541 0.0000
0.0000 0.0000 9.8157
Rb Mn Tl Br
3 2 1 8
Direct
0.0000 0.0000 0.0000
0.3333 0.6667 0.6022
0.6667 0.3333 0.3978
0.3333 0.6667 0.1857
0.6667 0.3333 0.8143
0.0000 0.0000 0.5000
0.1742 0.3484 0.2950
0.1742 0.8258 0.2950
0.3333 0.6667 0.9389
0.3484 0.1742 0.7050
0.6516 0.8258 0.2950
0.6667 0.3333 0.0611
0.8258 0.1742 0.7050
0.8258 0.6516 0.7050
```

=====

(5)
Structure and simulated X-ray powder pattern of BaIn8Pd2 (a PBE-relaxed structure; CuKα).
Kinematic intensities with the Lorentz-polarization factor, no thermal factor.

Principal peaks in the range 2θ = 10–80°, by angle:
Position (°2θ), I (rel.)
22.04, 40
28.07, 31
29.36, 26
34.38, 100
40.12, 57
41.07, 61
50.48, 22
69.22, 25

Structural model:
```
BaIn8Pd2
1.0
6.3574 0.0000 0.0000
0.0000 6.3574 0.0000
0.0000 0.0000 9.1272
Ba In Pd
1 8 2
Direct
0.0000 0.0000 0.0000
0.2523 0.2523 0.3168
0.2523 0.2523 0.6832
0.2523 0.7477 0.3168
0.2523 0.7477 0.6832
0.7477 0.2523 0.3168
0.7477 0.2523 0.6832
0.7477 0.7477 0.3168
0.7477 0.7477 0.6832
0.0000 0.5000 0.5000
0.5000 0.0000 0.5000
```

=====

(6)
Structure and simulated X-ray powder pattern of Tb3YPd4 (a PBE-relaxed structure; CuKα).
Kinematic intensities with the Lorentz-polarization factor, no thermal factor.

Principal peaks in the range 2θ = 10–80°, by angle:
Position (°2θ), I (rel.)
17.79, 2
25.26, 2
31.07, 1
36.03, 100
51.87, 17
58.55, 1
64.78, 36
76.42, 11

Structural model:
```
Tb3YPd4
1.0
-3.5254 3.5254 3.5254
3.5254 -3.5254 3.5254
3.5254 3.5254 -3.5254
Tb Y Pd
3 1 4
Direct
0.0000 0.5000 0.5000
0.5000 0.0000 0.5000
0.5000 0.5000 0.0000
0.0000 0.0000 0.0000
0.0000 0.0000 0.5000
0.0000 0.5000 0.0000
0.5000 0.0000 0.0000
0.5000 0.5000 0.5000
```

=====

(7)
Structure and simulated X-ray powder pattern of K4Rb2AgHg2 (a PBE-relaxed structure; CuKα).
Kinematic intensities with the Lorentz-polarization factor, no thermal factor.

Principal peaks in the range 2θ = 10–80°, by angle:
Position (°2θ), I (rel.)
11.37, 33
15.85, 41
23.93, 57
25.36, 30
26.94, 100
29.30, 50
31.47, 36
33.78, 45

Structural model:
```
K4Rb2AgHg2
1.0
6.0964 0.0000 0.0000
3.0358 8.0888 0.0000
3.0270 2.6731 9.4890
K Rb Ag Hg
4 2 1 2
Direct
0.1014 0.1712 0.1265
0.3606 0.1692 0.6124
0.6394 0.8308 0.3876
0.8986 0.8288 0.8735
0.3608 0.5610 0.2200
0.6392 0.4390 0.7800
0.0000 0.0000 0.5000
0.1400 0.6309 0.5820
0.8600 0.3691 0.4180
```

=====

(8)
Structure and simulated X-ray powder pattern of NbCr3Ag2S8 (a PBE-relaxed structure; CuKα).
Kinematic intensities with the Lorentz-polarization factor, no thermal factor.

Principal peaks in the range 2θ = 10–80°, by angle:
Position (°2θ), I (rel.)
21.00, 53
26.63, 53
27.56, 93
30.33, 51
34.23, 100
35.97, 59
41.28, 60
41.97, 53

Structural model:
```
NbCr3Ag2S8
1.0
3.4670 0.0000 0.0000
0.0000 11.2448 0.0000
0.0000 0.0000 12.8392
Nb Cr Ag S
2 6 4 16
Direct
0.0000 0.2045 0.0000
0.5000 0.7955 0.5000
0.0000 0.1656 0.5254
0.0000 0.6577 0.2073
0.0000 0.6931 0.7380
0.5000 0.3069 0.2380
0.5000 0.3423 0.7073
0.5000 0.8344 0.0254
0.0000 0.0106 0.7903
0.0000 0.5251 0.9365
0.5000 0.4749 0.4365
0.5000 0.9894 0.2903
0.0000 0.1676 0.1917
0.0000 0.2903 0.8293
0.0000 0.3642 0.5827
0.0000 0.4506 0.2738
0.0000 0.6479 0.5555
0.0000 0.8023 0.9034
0.0000 0.8615 0.1541
0.0000 0.9504 0.4756
0.5000 0.0496 0.9756
0.5000 0.1385 0.6541
0.5000 0.1977 0.4034
0.5000 0.3521 0.0555
0.5000 0.5494 0.7738
0.5000 0.6358 0.0827
0.5000 0.7097 0.3293
0.5000 0.8324 0.6917
```